No. 1
Calculated powder diffractogram
Compound: Pr3TlRh8
Radiation: Cu Kα, 1.54184 Å
Structure: a crystal structure in Alexandria, relaxed with PBE
Lines closer than 0.1° are merged.

Structure:
Lattice parameters (Å, degrees): 9.4346 9.4346 9.4346 33.22 33.22 33.22
Atoms (fractional coordinates):
Pr 0.0000 0.0000 0.0000
Pr 0.1283 0.1283 0.1283
Pr 0.6196 0.6196 0.6196
Tl 0.4979 0.4979 0.4979
Rh 0.0615 0.0615 0.5621
Rh 0.0615 0.5621 0.0615
Rh 0.0631 0.5614 0.5614
Rh 0.3119 0.3119 0.3119
Rh 0.5614 0.0631 0.5614
Rh 0.5614 0.5614 0.0631
Rh 0.5621 0.0615 0.0615
Rh 0.8123 0.8123 0.8123

Peak list (10 most intense, 2θ = 10–90°, in order of falling intensity)
d 2.307, rel. 100
d 2.319, rel. 50
d 2.301, rel. 50
d 2.205, rel. 42
d 2.697, rel. 41
d 2.717, rel. 40
d 1.349, rel. 26
d 1.358, rel. 25
d 1.470, rel. 24
d 1.473, rel. 24

=====

No. 2
Calculated powder diffractogram
Compound: Pr3Tl2Rh4
Radiation: Cu Kα, 1.54184 Å
Structure: a crystal structure in Alexandria, relaxed with PBE
Lines closer than 0.1° are merged.

Structure:
Lattice parameters (Å, degrees): 8.5825 8.5825 5.8549 96.11 96.11 76.33
Atoms (fractional coordinates):
Pr 0.1147 0.8853 0.7500
Pr 0.2798 0.5060 0.0437
Pr 0.4940 0.7202 0.4563
Pr 0.5060 0.2798 0.5437
Pr 0.7202 0.4940 0.9563
Pr 0.8853 0.1147 0.2500
Tl 0.0693 0.2946 0.6928
Tl 0.2946 0.0693 0.1928
Tl 0.7054 0.9307 0.8072
Tl 0.9307 0.7054 0.3072
Rh 0.0531 0.3640 0.2027
Rh 0.2339 0.5611 0.5530
Rh 0.3640 0.0531 0.7027
Rh 0.4389 0.7661 0.9470
Rh 0.5611 0.2339 0.0530
Rh 0.6360 0.9469 0.2973
Rh 0.7661 0.4389 0.4470
Rh 0.9469 0.6360 0.7973

Peak list (10 most intense, 2θ = 10–90°, in order of falling intensity)
d 2.669, rel. 100
d 2.593, rel. 87
d 2.652, rel. 82
d 2.354, rel. 57
d 2.133, rel. 51
d 2.175, rel. 51
d 2.422, rel. 47
d 3.521, rel. 45
d 1.662, rel. 35
d 1.761, rel. 33

=====

No. 3
Calculated powder diffractogram
Compound: PrTm2Rh2
Radiation: Cu Kα, 1.54184 Å
Structure: a crystal structure in Alexandria, relaxed with PBE
Lines closer than 0.1° are merged.

Structure:
Lattice parameters (Å, degrees): 6.9245 6.9245 7.7390 118.23 118.23 53.70
Atoms (fractional coordinates):
Pr 0.1213 0.8787 0.7500
Pr 0.8787 0.1213 0.2500
Tm 0.2123 0.4078 0.2232
Tm 0.4078 0.2123 0.7232
Tm 0.5922 0.7877 0.2768
Tm 0.7877 0.5922 0.7768
Rh 0.2236 0.6336 0.0245
Rh 0.3664 0.7764 0.4755
Rh 0.6336 0.2236 0.5245
Rh 0.7764 0.3664 0.9755

Peak list (10 most intense, 2θ = 10–90°, in order of falling intensity)
d 3.046, rel. 100
d 2.374, rel. 88
d 2.823, rel. 72
d 1.860, rel. 32
d 2.059, rel. 27
d 1.664, rel. 27
d 1.845, rel. 25
d 4.853, rel. 18
d 1.792, rel. 16
d 3.281, rel. 16

=====

No. 4
Calculated powder diffractogram
Compound: Pr3YRh
Radiation: Cu Kα, 1.54184 Å
Structure: a crystal structure in Alexandria, relaxed with PBE
Lines closer than 0.1° are merged.

Structure:
Lattice parameters (Å, degrees): 7.8373 6.7150 6.3819 90.00 90.00 90.00
Atoms (fractional coordinates):
Pr 0.0000 0.1497 0.0000
Pr 0.2474 0.3120 0.5040
Pr 0.2526 0.6880 0.0040
Pr 0.5000 0.8503 0.5000
Pr 0.7474 0.6880 0.0040
Pr 0.7526 0.3120 0.5040
Y 0.0000 0.8395 0.5106
Y 0.5000 0.1605 0.0106
Rh 0.0000 0.5066 0.2538
Rh 0.5000 0.4934 0.7538

Peak list (10 most intense, 2θ = 10–90°, in order of falling intensity)
d 2.990, rel. 100
d 2.971, rel. 41
d 2.322, rel. 29
d 1.944, rel. 24
d 3.191, rel. 24
d 1.801, rel. 23
d 2.313, rel. 18
d 1.960, rel. 17
d 1.636, rel. 14
d 3.984, rel. 14

=====

No. 5
Calculated powder diffractogram
Compound: PrY4Rh5
Radiation: Cu Kα, 1.54184 Å
Structure: a crystal structure in Alexandria, relaxed with PBE
Lines closer than 0.1° are merged.

Structure:
Lattice parameters (Å, degrees): 3.4278 3.4278 17.6891 90.00 90.00 90.00
Atoms (fractional coordinates):
Pr 0.0000 0.0000 0.0000
Y 0.0000 0.0000 0.2044
Y 0.0000 0.0000 0.4016
Y 0.0000 0.0000 0.5984
Y 0.0000 0.0000 0.7956
Rh 0.5000 0.5000 0.1080
Rh 0.5000 0.5000 0.3033
Rh 0.5000 0.5000 0.5000
Rh 0.5000 0.5000 0.6967
Rh 0.5000 0.5000 0.8920

Peak list (10 most intense, 2θ = 10–90°, in order of falling intensity)
d 2.462, rel. 100
d 2.424, rel. 49
d 1.407, rel. 33
d 1.714, rel. 17
d 1.429, rel. 17
d 1.231, rel. 10
d 1.769, rel. 9
d 1.115, rel. 7
d 1.212, rel. 5
d 2.709, rel. 2

=====

No. 6
Calculated powder diffractogram
Compound: Pr2YRh2
Radiation: Cu Kα, 1.54184 Å
Structure: a crystal structure in Alexandria, relaxed with PBE
Lines closer than 0.1° are merged.

Structure:
Lattice parameters (Å, degrees): 6.9351 6.9351 6.9351 40.14 40.14 40.14
Atoms (fractional coordinates):
Pr 0.2210 0.2210 0.2210
Pr 0.7790 0.7790 0.7790
Y 0.0000 0.0000 0.0000
Rh 0.3839 0.3839 0.3839
Rh 0.6161 0.6161 0.6161

Peak list (10 most intense, 2θ = 10–90°, in order of falling intensity)
d 2.802, rel. 100
d 2.380, rel. 87
d 1.814, rel. 28
d 1.443, rel. 26
d 3.785, rel. 19
d 2.066, rel. 16
d 2.275, rel. 15
d 1.374, rel. 15
d 1.384, rel. 11
d 1.095, rel. 11

=====

No. 7
Calculated powder diffractogram
Compound: Pr2Zn5Rh5
Radiation: Cu Kα, 1.54184 Å
Structure: a crystal structure in Alexandria, relaxed with PBE
Lines closer than 0.1° are merged.

Structure:
Lattice parameters (Å, degrees): 4.0223 5.6310 9.2774 90.00 90.00 90.00
Atoms (fractional coordinates):
Pr 0.0000 0.0000 0.0000
Pr 0.0000 0.5000 0.5000
Zn 0.0000 0.0000 0.3291
Zn 0.0000 0.0000 0.6709
Zn 0.0000 0.5000 0.1677
Zn 0.0000 0.5000 0.8323
Zn 0.5000 0.0000 0.5000
Rh 0.5000 0.2523 0.2583
Rh 0.5000 0.2523 0.7417
Rh 0.5000 0.5000 0.0000
Rh 0.5000 0.7477 0.2583
Rh 0.5000 0.7477 0.7417

Peak list (10 most intense, 2θ = 10–90°, in order of falling intensity)
d 2.248, rel. 100
d 2.307, rel. 64
d 2.407, rel. 58
d 2.011, rel. 55
d 3.087, rel. 46
d 2.065, rel. 30
d 3.039, rel. 29
d 1.543, rel. 29
d 2.319, rel. 27
d 1.490, rel. 26

=====

No. 8
Calculated powder diffractogram
Compound: Pr2Zn3Rh4
Radiation: Cu Kα, 1.54184 Å
Structure: a crystal structure in Alexandria, relaxed with PBE
Lines closer than 0.1° are merged.

Structure:
Lattice parameters (Å, degrees): 8.3317 8.3317 7.3335 90.00 90.00 140.13
Atoms (fractional coordinates):
Pr 0.1047 0.8953 0.9110
Pr 0.3953 0.6047 0.4110
Pr 0.6047 0.3953 0.5890
Pr 0.8953 0.1047 0.0890
Zn 0.0000 0.0000 0.5000
Zn 0.0159 0.4841 0.7500
Zn 0.4841 0.0159 0.2500
Zn 0.5000 0.5000 0.0000
Zn 0.5159 0.9841 0.7500
Zn 0.9841 0.5159 0.2500
Rh 0.1711 0.8289 0.5141
Rh 0.1809 0.3191 0.7500
Rh 0.3191 0.1809 0.2500
Rh 0.3289 0.6711 0.0141
Rh 0.6711 0.3289 0.9859
Rh 0.6809 0.8191 0.7500
Rh 0.8191 0.6809 0.2500
Rh 0.8289 0.1711 0.4859

Peak list (10 most intense, 2θ = 10–90°, in order of falling intensity)
d 2.246, rel. 100
d 2.570, rel. 99
d 2.509, rel. 59
d 2.333, rel. 51
d 2.127, rel. 35
d 2.653, rel. 32
d 1.327, rel. 29
d 2.299, rel. 24
d 1.583, rel. 22
d 2.460, rel. 20